No. 1
Computed X-ray powder pattern of P3Pb5BrO12 for copper Kα, from DFT lattice parameters and positions (GGA-PBE).
Neutral-atom scattering factors, no anomalous dispersion.

Largest 10 diffraction maxima, sorted by position, 10 to 90 degrees two-theta:
2theta	I/Imax
20.98	42
26.52	21
29.12	73
29.54	100
30.15	58
42.71	37
45.26	22
46.11	23
46.81	24
47.57	24

Structure:
abc: 10.2688 10.2688 7.4848
angles: 90.00 90.00 120.00
Space group P6_3 (No. 173)
One atom of each set of equivalent atoms:
P 0.0355 0.4146 0.0000 (multiplicity 6)
Pb 0.0145 0.7496 0.9673 (multiplicity 6)
Pb 0.3333 0.6667 0.2506 (multiplicity 2)
Pb 0.3333 0.6667 0.7393 (multiplicity 2)
Br 0.0000 0.0000 0.2286 (multiplicity 2)
O 0.0885 0.3748 0.1768 (multiplicity 6)
O 0.0889 0.3547 0.8405 (multiplicity 6)
O 0.1258 0.5923 0.9864 (multiplicity 6)
O 0.1357 0.6453 0.4962 (multiplicity 6)

No. 2
Computed X-ray powder pattern of Rb4LaTb3Se8 for copper Kα, from DFT lattice parameters and positions (GGA-PBE).
Neutral-atom scattering factors, no anomalous dispersion.

Largest 10 diffraction maxima, sorted by position, 10 to 90 degrees two-theta:
2theta	I/Imax
11.06	27
28.14	100
35.54	11
38.48	34
41.90	36
51.23	19
58.19	10
63.42	10
68.25	15
74.24	10

Structure:
abc: 8.6252 8.6252 24.0089
angles: 90.00 90.00 120.00
Space group R-3m (No. 166, hexagonal axes)
One atom of each set of equivalent atoms:
Rb 0.0000 0.0000 0.0000 (multiplicity 3)
Rb 0.0000 0.5000 0.0000 (multiplicity 9)
La 0.0000 0.0000 0.5000 (multiplicity 3)
Tb 0.0000 0.5000 0.5000 (multiplicity 9)
Se 0.0000 0.0000 0.2318 (multiplicity 6)
Se 0.0094 0.5047 0.7673 (multiplicity 18)

No. 3
Computed X-ray powder pattern of K6InI8 for copper Kα, from DFT lattice parameters and positions (GGA-PBE).
Neutral-atom scattering factors, no anomalous dispersion.

Largest 10 diffraction maxima, sorted by position, 10 to 90 degrees two-theta:
2theta	I/Imax
15.42	62
20.83	53
28.86	95
29.45	100
29.81	71
38.04	22
42.40	27
45.12	27
45.63	27
58.47	21

Structure:
abc: 10.3815 10.3815 7.4756
angles: 90.00 90.00 120.00
Space group P-31m (No. 162)
One atom of each set of equivalent atoms:
K 0.0000 0.3751 0.2839 (multiplicity 6)
In 0.0000 0.0000 0.0000 (multiplicity 1)
I 0.0000 0.2676 0.7834 (multiplicity 6)
I 0.3333 0.6667 0.5000 (multiplicity 2)

No. 4
Computed X-ray powder pattern of VFe2Re for copper Kα, from DFT lattice parameters and positions (GGA-PBE).
Neutral-atom scattering factors, no anomalous dispersion.

Largest 10 diffraction maxima, sorted by position, 10 to 90 degrees two-theta:
2theta	I/Imax
24.15	12
24.28	31
34.54	36
42.65	100
49.47	16
49.76	31
56.08	12
72.79	19
87.99	12
88.42	24

Structure:
abc: 3.665 3.665 3.685
angles: 90.00 90.00 90.00
Space group P4/mmm (No. 123)
One atom of each set of equivalent atoms:
V 0.000 0.000 0.000 (multiplicity 1)
Fe 0.000 0.500 0.500 (multiplicity 2)
Re 0.500 0.500 0.000 (multiplicity 1)